Starting from DFT lattice parameters and positions (PBE), the powder diffraction line list of YTh2Zn6 was simulated for Cu Kα.
No peak broadening, texture or thermal motion is included.

Peak list (6 most intense, 2θ = 15–90°, most intense first)
2θ/deg	I/Imax
33.9	100
39.6	54
53.2	29
68.3	26
22.6	25
66.7	23

Structural model:
a = 7.8752 Å, b = 7.8752 Å, c = 3.5603 Å
α = 90.00°, β = 90.00°, γ = 120.00°
Positions (direct):
Y 0.0000 0.0000 0.0000
Th 0.3333 0.6667 0.0000
Th 0.6667 0.3333 0.0000
Zn 0.0000 0.3293 0.5000
Zn 0.0000 0.6707 0.5000
Zn 0.3293 0.0000 0.5000
Zn 0.3293 0.3293 0.5000
Zn 0.6707 0.0000 0.5000
Zn 0.6707 0.6707 0.5000

Starting from DFT lattice parameters and positions (PBE), the powder diffraction line list of PmDy2ErTm2 was simulated for Cu Kα.
No peak broadening, texture or thermal motion is included.

Peak list (6 most intense, 2θ = 15–90°, most intense first)
2θ/deg	I/Imax
32.0	100
31.9	89
45.8	33
56.9	29
63.4	28
57.1	24

Structural model:
a = 6.8986 Å, b = 9.7005 Å, c = 5.5824 Å
α = 90.00°, β = 90.00°, γ = 90.00°
Positions (direct):
Pm 0.0000 0.0000 0.0000
Pm 0.5000 0.5000 0.5000
Dy 0.2484 0.3332 0.0000
Dy 0.2516 0.8332 0.5000
Dy 0.7484 0.1668 0.5000
Dy 0.7516 0.6668 0.0000
Er 0.0000 0.5000 0.5000
Er 0.5000 0.0000 0.0000
Tm 0.2493 0.6664 0.0000
Tm 0.2507 0.1664 0.5000
Tm 0.7493 0.8336 0.5000
Tm 0.7507 0.3336 0.0000

Starting from DFT lattice parameters and positions (PBE), the powder diffraction line list of Pu2Al6Ag was simulated for Cu Kα.
No peak broadening, texture or thermal motion is included.

Peak list (6 most intense, 2θ = 15–90°, most intense first)
2θ/deg	I/Imax
23.2	100
29.9	81
38.2	71
36.1	70
33.9	53
49.2	33

Structural model:
a = 5.9854 Å, b = 5.9854 Å, c = 5.6720 Å
α = 90.00°, β = 90.00°, γ = 120.00°
Positions (direct):
Pu 0.3333 0.6667 0.3275
Pu 0.6667 0.3333 0.6725
Al 0.1784 0.3569 0.8228
Al 0.1784 0.8216 0.8228
Al 0.3569 0.1784 0.1772
Al 0.6431 0.8216 0.8228
Al 0.8216 0.1784 0.1772
Al 0.8216 0.6431 0.1772
Ag 0.0000 0.0000 0.5000

Starting from DFT lattice parameters and positions (PBE), the powder diffraction line list of Sc8Al2Sn was simulated for Cu Kα.
No peak broadening, texture or thermal motion is included.

Peak list (6 most intense, 2θ = 15–90°, most intense first)
2θ/deg	I/Imax
35.0	100
35.1	98
37.7	41
39.5	36
55.7	25
68.8	25

Structural model:
a = 8.0937 Å, b = 8.0937 Å, c = 7.4406 Å
α = 111.42°, β = 111.42°, γ = 32.74°
Positions (direct):
Sc 0.0532 0.0532 0.2249
Sc 0.1487 0.1487 0.7085
Sc 0.3168 0.3168 0.5607
Sc 0.3994 0.3994 0.0420
Sc 0.6006 0.6006 0.9580
Sc 0.6832 0.6832 0.4393
Sc 0.8513 0.8513 0.2915
Sc 0.9468 0.9468 0.7751
Al 0.2220 0.2220 0.1435
Al 0.7780 0.7780 0.8565
Sn 0.5000 0.5000 0.5000

Starting from DFT lattice parameters and positions (PBE), the powder diffraction line list of La8Cd3Tc2 was simulated for Cu Kα.
No peak broadening, texture or thermal motion is included.

Peak list (6 most intense, 2θ = 15–90°, most intense first)
2θ/deg	I/Imax
31.6	100
29.9	78
34.1	58
33.9	30
34.4	20
59.4	17

Structural model:
a = 7.7098 Å, b = 5.2642 Å, c = 10.1441 Å
α = 90.00°, β = 109.91°, γ = 90.00°
Positions (direct):
La 0.0388 0.0000 0.1832
La 0.1913 0.5000 0.6978
La 0.2960 0.5000 0.0544
La 0.4586 0.0000 0.6742
La 0.5414 0.0000 0.3258
La 0.7040 0.5000 0.9456
La 0.8087 0.5000 0.3022
La 0.9612 0.0000 0.8168
Cd 0.0000 0.0000 0.5000
Cd 0.2931 0.5000 0.3947
Cd 0.7069 0.5000 0.6053
Tc 0.3408 0.0000 0.9104
Tc 0.6592 0.0000 0.0896